Entry 1:
Starting from a crystal structure in Alexandria, relaxed with PBE, the X-ray powder pattern of La8Cd3Os2 was computed for Cu Kα (weighted mean of Kα1 and Kα2).
Peak positions follow from Bragg's law for the DFT cell and can differ from measured ones.

Main lines, sorted by position (10 to 80 degrees two-theta):
2θ 29.40, rel. 31.2
2θ 29.69, rel. 100.0
2θ 30.16, rel. 21.6
2θ 31.80, rel. 21.1
2θ 32.47, rel. 21.4
2θ 33.04, rel. 25.9
2θ 34.18, rel. 39.3
2θ 34.34, rel. 21.4
2θ 37.17, rel. 25.1
2θ 45.45, rel. 31.6

Cell and atoms:
```
data_La8Cd3Os2
_chemical_formula_sum 'La8 Cd3 Os2'
_cell_length_a 9.7418
_cell_length_b 9.7418
_cell_length_c 5.4242
_cell_angle_alpha 91.33
_cell_angle_beta 91.33
_cell_angle_gamma 48.41
_space_group_name_H-M_alt 'P 1'
_space_group_IT_number 1
loop_
_space_group_symop_operation_xyz
'x,y,z'
loop_
_atom_site_label
_atom_site_type_symbol
_atom_site_fract_x
_atom_site_fract_y
_atom_site_fract_z
La1 La 0.0668 0.5958 0.2630
La2 La 0.0715 0.0715 0.2619
La3 La 0.3270 0.3270 0.7719
La4 La 0.4042 0.9332 0.7370
La5 La 0.5958 0.0668 0.2630
La6 La 0.6730 0.6730 0.2281
La7 La 0.9285 0.9285 0.7381
La8 La 0.9332 0.4042 0.7370
Cd1 Cd 0.3256 0.6744 0.0000
Cd2 Cd 0.5000 0.5000 0.5000
Cd3 Cd 0.6744 0.3256 0.0000
Os1 Os 0.2203 0.2203 0.2541
Os2 Os 0.7797 0.7797 0.7459
```


Entry 2:
Starting from a crystal structure in Alexandria, relaxed with PBE, the X-ray powder pattern of CdIn3Hg5 was computed for Cu Kα (weighted mean of Kα1 and Kα2).
Peak positions follow from Bragg's law for the DFT cell and can differ from measured ones.

Main lines, sorted by position (10 to 80 degrees two-theta):
2θ 30.64, rel. 55.4
2θ 31.18, rel. 10.1
2θ 31.46, rel. 100.0
2θ 33.44, rel. 41.7
2θ 37.53, rel. 13.9
2θ 42.00, rel. 16.1
2θ 52.26, rel. 19.5
2θ 54.72, rel. 14.2
2θ 58.54, rel. 18.2
2θ 63.16, rel. 10.7

Cell and atoms:
```
data_CdIn3Hg5
_chemical_formula_sum 'Cd2 In6 Hg10'
_cell_length_a 10.1368
_cell_length_b 10.1368
_cell_length_c 10.1368
_cell_angle_alpha 136.10
_cell_angle_beta 136.10
_cell_angle_gamma 63.83
_space_group_name_H-M_alt 'P 1'
_space_group_IT_number 1
loop_
_space_group_symop_operation_xyz
'x,y,z'
loop_
_atom_site_label
_atom_site_type_symbol
_atom_site_fract_x
_atom_site_fract_y
_atom_site_fract_z
Cd1 Cd 0.2500 0.7500 0.5000
Cd2 Cd 0.7500 0.2500 0.5000
In1 In 0.1352 0.6352 0.7703
In2 In 0.2500 0.2500 0.0000
In3 In 0.3648 0.1352 0.5000
In4 In 0.6352 0.8648 0.5000
In5 In 0.7500 0.7500 0.0000
In6 In 0.8648 0.3648 0.2297
Hg1 Hg 0.0000 0.0000 0.0000
Hg2 Hg 0.0660 0.1525 0.5000
Hg3 Hg 0.1525 0.6525 0.0865
Hg4 Hg 0.3475 0.4340 0.5000
Hg5 Hg 0.4340 0.9340 0.0865
Hg6 Hg 0.5000 0.5000 0.0000
Hg7 Hg 0.5660 0.0660 0.9135
Hg8 Hg 0.6525 0.5660 0.5000
Hg9 Hg 0.8475 0.3475 0.9135
Hg10 Hg 0.9340 0.8475 0.5000
```


Entry 3:
Starting from a crystal structure in Alexandria, relaxed with PBE, the X-ray powder pattern of Ce12Si5Sn was computed for Cu Kα (weighted mean of Kα1 and Kα2).
Peak positions follow from Bragg's law for the DFT cell and can differ from measured ones.

Main lines, sorted by position (10 to 80 degrees two-theta):
2θ 25.65, rel. 11.8
2θ 29.24, rel. 17.7
2θ 31.83, rel. 100.0
2θ 33.43, rel. 33.8
2θ 34.17, rel. 16.3
2θ 34.27, rel. 21.9
2θ 35.20, rel. 15.9
2θ 38.90, rel. 23.6
2θ 56.20, rel. 11.3
2θ 58.43, rel. 13.2

Cell and atoms:
```
data_Ce12Si5Sn
_chemical_formula_sum 'Ce12 Si5 Sn1'
_cell_length_a 8.4805
_cell_length_b 8.4805
_cell_length_c 8.4805
_cell_angle_alpha 113.81
_cell_angle_beta 111.25
_cell_angle_gamma 103.53
_space_group_name_H-M_alt 'P 1'
_space_group_IT_number 1
loop_
_space_group_symop_operation_xyz
'x,y,z'
loop_
_atom_site_label
_atom_site_type_symbol
_atom_site_fract_x
_atom_site_fract_y
_atom_site_fract_z
Ce1 Ce 0.0330 0.2384 0.7946
Ce2 Ce 0.1924 0.2669 0.4594
Ce3 Ce 0.1924 0.7331 0.9255
Ce4 Ce 0.3127 0.0313 0.7186
Ce5 Ce 0.3127 0.5942 0.2814
Ce6 Ce 0.4437 0.2384 0.2054
Ce7 Ce 0.5563 0.7616 0.7946
Ce8 Ce 0.6873 0.4058 0.7186
Ce9 Ce 0.6873 0.9687 0.2814
Ce10 Ce 0.8076 0.2669 0.0745
Ce11 Ce 0.8076 0.7331 0.5406
Ce12 Ce 0.9670 0.7616 0.2054
Si1 Si 0.0000 0.0000 0.0000
Si2 Si 0.1135 0.6135 0.5000
Si3 Si 0.3770 0.0000 0.3770
Si4 Si 0.6230 0.0000 0.6230
Si5 Si 0.8865 0.3865 0.5000
Sn1 Sn 0.5000 0.5000 0.0000
```


Entry 4:
Starting from a crystal structure in Alexandria, relaxed with PBE, the X-ray powder pattern of Nd6Cu2Rh was computed for Cu Kα (weighted mean of Kα1 and Kα2).
Peak positions follow from Bragg's law for the DFT cell and can differ from measured ones.

Main lines, sorted by position (10 to 80 degrees two-theta):
2θ 28.23, rel. 28.4
2θ 28.54, rel. 43.1
2θ 29.21, rel. 100.0
2θ 29.39, rel. 30.7
2θ 30.13, rel. 54.9
2θ 30.74, rel. 34.2
2θ 32.05, rel. 25.9
2θ 38.68, rel. 27.2
2θ 50.87, rel. 30.5
2θ 52.18, rel. 23.2

Cell and atoms:
```
data_Nd6Cu2Rh
_chemical_formula_sum 'Nd12 Cu4 Rh2'
_cell_length_a 6.7143
_cell_length_b 7.4461
_cell_length_c 12.2549
_cell_angle_alpha 90.00
_cell_angle_beta 120.86
_cell_angle_gamma 90.00
_space_group_name_H-M_alt 'P 1'
_space_group_IT_number 1
loop_
_space_group_symop_operation_xyz
'x,y,z'
loop_
_atom_site_label
_atom_site_type_symbol
_atom_site_fract_x
_atom_site_fract_y
_atom_site_fract_z
Nd1 Nd 0.0941 0.1895 0.4299
Nd2 Nd 0.0941 0.3105 0.9299
Nd3 Nd 0.2532 0.6751 0.4273
Nd4 Nd 0.2532 0.8249 0.9273
Nd5 Nd 0.3964 0.0394 0.2452
Nd6 Nd 0.3964 0.4606 0.7452
Nd7 Nd 0.6036 0.5394 0.2548
Nd8 Nd 0.6036 0.9606 0.7548
Nd9 Nd 0.7468 0.1751 0.0727
Nd10 Nd 0.7468 0.3249 0.5727
Nd11 Nd 0.9059 0.6895 0.0701
Nd12 Nd 0.9059 0.8105 0.5701
Cu1 Cu 0.1736 0.1104 0.7361
Cu2 Cu 0.1736 0.3896 0.2361
Cu3 Cu 0.8264 0.6104 0.7639
Cu4 Cu 0.8264 0.8896 0.2639
Rh1 Rh 0.5000 0.0000 0.5000
Rh2 Rh 0.5000 0.5000 0.0000
```


Entry 5:
Starting from a crystal structure in Alexandria, relaxed with PBE, the X-ray powder pattern of Ba2In5P5 was computed for Cu Kα (weighted mean of Kα1 and Kα2).
Peak positions follow from Bragg's law for the DFT cell and can differ from measured ones.

Main lines, sorted by position (10 to 80 degrees two-theta):
2θ 25.97, rel. 24.6
2θ 26.47, rel. 43.7
2θ 27.37, rel. 36.7
2θ 27.96, rel. 100.0
2θ 28.68, rel. 24.7
2θ 29.40, rel. 22.4
2θ 30.74, rel. 45.6
2θ 42.89, rel. 32.1
2θ 47.62, rel. 23.9
2θ 53.67, rel. 24.5

Cell and atoms:
```
data_Ba2In5P5
_chemical_formula_sum 'Ba8 In20 P20'
_cell_length_a 17.5223
_cell_length_b 4.2173
_cell_length_c 17.6987
_cell_angle_alpha 90.00
_cell_angle_beta 90.00
_cell_angle_gamma 90.00
_space_group_name_H-M_alt 'P 1'
_space_group_IT_number 1
loop_
_space_group_symop_operation_xyz
'x,y,z'
loop_
_atom_site_label
_atom_site_type_symbol
_atom_site_fract_x
_atom_site_fract_y
_atom_site_fract_z
Ba1 Ba 0.0195 0.2500 0.1211
Ba2 Ba 0.0424 0.2500 0.6284
Ba3 Ba 0.4576 0.7500 0.1284
Ba4 Ba 0.4805 0.7500 0.6211
Ba5 Ba 0.5195 0.2500 0.3789
Ba6 Ba 0.5424 0.2500 0.8716
Ba7 Ba 0.9576 0.7500 0.3716
Ba8 Ba 0.9805 0.7500 0.8789
In1 In 0.1573 0.2500 0.3083
In2 In 0.1700 0.7500 0.4706
In3 In 0.1712 0.2500 0.9403
In4 In 0.1862 0.7500 0.7758
In5 In 0.2115 0.7500 0.1248
In6 In 0.2885 0.2500 0.6248
In7 In 0.3138 0.2500 0.2758
In8 In 0.3288 0.7500 0.4403
In9 In 0.3300 0.2500 0.9706
In10 In 0.3427 0.7500 0.8083
In11 In 0.6573 0.2500 0.1917
In12 In 0.6700 0.7500 0.0294
In13 In 0.6712 0.2500 0.5597
In14 In 0.6862 0.7500 0.7242
In15 In 0.7115 0.7500 0.3752
In16 In 0.7885 0.2500 0.8752
In17 In 0.8138 0.2500 0.2242
In18 In 0.8288 0.7500 0.0597
In19 In 0.8300 0.2500 0.5294
In20 In 0.8427 0.7500 0.6917
P1 P 0.0837 0.2500 0.4393
P2 P 0.1038 0.2500 0.8080
P3 P 0.1086 0.7500 0.2331
P4 P 0.1155 0.7500 0.0112
P5 P 0.1964 0.7500 0.6237
P6 P 0.3036 0.2500 0.1237
P7 P 0.3845 0.2500 0.5112
P8 P 0.3914 0.2500 0.7331
P9 P 0.3962 0.7500 0.3080
P10 P 0.4163 0.7500 0.9393
P11 P 0.5837 0.2500 0.0607
P12 P 0.6038 0.2500 0.6920
P13 P 0.6086 0.7500 0.2669
P14 P 0.6155 0.7500 0.4888
P15 P 0.6964 0.7500 0.8763
P16 P 0.8036 0.2500 0.3763
P17 P 0.8845 0.2500 0.9888
P18 P 0.8914 0.2500 0.7669
P19 P 0.8962 0.7500 0.1920
P20 P 0.9163 0.7500 0.5607
```


Entry 6:
Starting from a crystal structure in Alexandria, relaxed with PBE, the X-ray powder pattern of In5Se4 was computed for Cu Kα (weighted mean of Kα1 and Kα2).
Peak positions follow from Bragg's law for the DFT cell and can differ from measured ones.

Main lines, sorted by position (10 to 80 degrees two-theta):
2θ 21.56, rel. 10.7
2θ 30.43, rel. 100.0
2θ 32.66, rel. 9.0
2θ 34.47, rel. 58.3
2θ 37.18, rel. 29.2
2θ 43.94, rel. 17.1
2θ 46.81, rel. 24.2
2θ 48.78, rel. 15.7
2θ 55.35, rel. 8.4
2θ 58.88, rel. 14.8

Cell and atoms:
```
data_In5Se4
_chemical_formula_sum 'In10 Se8'
_cell_length_a 8.3762
_cell_length_b 8.3762
_cell_length_c 8.2425
_cell_angle_alpha 90.00
_cell_angle_beta 90.00
_cell_angle_gamma 120.00
_space_group_name_H-M_alt 'P 1'
_space_group_IT_number 1
loop_
_space_group_symop_operation_xyz
'x,y,z'
loop_
_atom_site_label
_atom_site_type_symbol
_atom_site_fract_x
_atom_site_fract_y
_atom_site_fract_z
In1 In 0.0000 0.2514 0.2500
In2 In 0.0000 0.7486 0.7500
In3 In 0.2514 0.0000 0.2500
In4 In 0.2514 0.2514 0.7500
In5 In 0.3333 0.6667 0.0000
In6 In 0.3333 0.6667 0.5000
In7 In 0.6667 0.3333 0.0000
In8 In 0.6667 0.3333 0.5000
In9 In 0.7486 0.0000 0.7500
In10 In 0.7486 0.7486 0.2500
Se1 Se 0.0000 0.0000 0.0000
Se2 Se 0.0000 0.0000 0.5000
Se3 Se 0.0000 0.4104 0.7500
Se4 Se 0.0000 0.5896 0.2500
Se5 Se 0.4104 0.0000 0.7500
Se6 Se 0.4104 0.4104 0.2500
Se7 Se 0.5896 0.0000 0.2500
Se8 Se 0.5896 0.5896 0.7500
```


Entry 7:
Starting from a crystal structure in Alexandria, relaxed with PBE, the X-ray powder pattern of BOF3 was computed for Cu Kα (weighted mean of Kα1 and Kα2).
Peak positions follow from Bragg's law for the DFT cell and can differ from measured ones.

Main lines, sorted by position (10 to 80 degrees two-theta):
2θ 10.77, rel. 19.9
2θ 21.03, rel. 76.7
2θ 21.61, rel. 25.2
2θ 23.82, rel. 25.1
2θ 30.16, rel. 100.0
2θ 32.69, rel. 24.5
2θ 34.59, rel. 38.9
2θ 37.26, rel. 42.9
2θ 38.45, rel. 18.8
2θ 41.55, rel. 15.2

Cell and atoms:
```
data_BOF3
_chemical_formula_sum 'B4 O4 F12'
_cell_length_a 9.1924
_cell_length_b 4.9259
_cell_length_c 8.4434
_cell_angle_alpha 90.00
_cell_angle_beta 116.62
_cell_angle_gamma 90.00
_space_group_name_H-M_alt 'P 1'
_space_group_IT_number 1
loop_
_space_group_symop_operation_xyz
'x,y,z'
loop_
_atom_site_label
_atom_site_type_symbol
_atom_site_fract_x
_atom_site_fract_y
_atom_site_fract_z
B1 B 0.1805 0.2386 0.1293
B2 B 0.1805 0.2614 0.6293
B3 B 0.8195 0.7386 0.3707
B4 B 0.8195 0.7614 0.8707
O1 O 0.4947 0.5965 0.0436
O2 O 0.4947 0.9035 0.5436
O3 O 0.5053 0.0965 0.4564
O4 O 0.5053 0.4035 0.9564
F1 F 0.0946 0.0992 0.1931
F2 F 0.0946 0.4008 0.6931
F3 F 0.1829 0.5080 0.1361
F4 F 0.1829 0.9920 0.6361
F5 F 0.2644 0.1086 0.0592
F6 F 0.2644 0.3914 0.5592
F7 F 0.7356 0.6086 0.4408
F8 F 0.7356 0.8914 0.9408
F9 F 0.8171 0.0080 0.3639
F10 F 0.8171 0.4920 0.8639
F11 F 0.9054 0.5992 0.3069
F12 F 0.9054 0.9008 0.8069
```


Entry 8:
Starting from a crystal structure in Alexandria, relaxed with PBE, the X-ray powder pattern of Li2PrHg was computed for Cu Kα (weighted mean of Kα1 and Kα2).
Peak positions follow from Bragg's law for the DFT cell and can differ from measured ones.

Main lines, sorted by position (10 to 80 degrees two-theta):
2θ 12.62, rel. 29.1
2θ 20.01, rel. 37.2
2θ 22.59, rel. 100.0
2θ 27.49, rel. 40.7
2θ 31.22, rel. 38.1
2θ 35.45, rel. 79.4
2θ 38.88, rel. 55.7
2θ 41.73, rel. 34.7
2θ 57.58, rel. 27.1
2θ 58.35, rel. 31.0

Cell and atoms:
```
data_Li2PrHg
_chemical_formula_sum 'Li4 Pr2 Hg2'
_cell_length_a 4.7567
_cell_length_b 5.7297
_cell_length_c 7.0126
_cell_angle_alpha 90.00
_cell_angle_beta 90.00
_cell_angle_gamma 90.00
_space_group_name_H-M_alt 'P 1'
_space_group_IT_number 1
loop_
_space_group_symop_operation_xyz
'x,y,z'
loop_
_atom_site_label
_atom_site_type_symbol
_atom_site_fract_x
_atom_site_fract_y
_atom_site_fract_z
Li1 Li 0.2500 0.0100 0.1074
Li2 Li 0.2500 0.4900 0.1074
Li3 Li 0.7500 0.5100 0.8926
Li4 Li 0.7500 0.9900 0.8926
Pr1 Pr 0.2500 0.2500 0.5729
Pr2 Pr 0.7500 0.7500 0.4271
Hg1 Hg 0.2500 0.7500 0.7650
Hg2 Hg 0.7500 0.2500 0.2350
```


Entry 9:
Starting from a crystal structure in Alexandria, relaxed with PBE, the X-ray powder pattern of ZrNi7Sn2As2 was computed for Cu Kα (weighted mean of Kα1 and Kα2).
Peak positions follow from Bragg's law for the DFT cell and can differ from measured ones.

Main lines, sorted by position (10 to 80 degrees two-theta):
2θ 12.00, rel. 35.7
2θ 28.75, rel. 57.4
2θ 30.30, rel. 30.0
2θ 34.75, rel. 47.8
2θ 35.29, rel. 51.1
2θ 39.42, rel. 44.4
2θ 42.76, rel. 37.1
2θ 46.76, rel. 100.0
2θ 49.96, rel. 82.8
2θ 73.34, rel. 25.4

Cell and atoms:
```
data_ZrNi7Sn2As2
_chemical_formula_sum 'Zr1 Ni7 Sn2 As2'
_cell_length_a 14.9745
_cell_length_b 14.9745
_cell_length_c 14.9745
_cell_angle_alpha 166.00
_cell_angle_beta 166.00
_cell_angle_gamma 19.86
_space_group_name_H-M_alt 'P 1'
_space_group_IT_number 1
loop_
_space_group_symop_operation_xyz
'x,y,z'
loop_
_atom_site_label
_atom_site_type_symbol
_atom_site_fract_x
_atom_site_fract_y
_atom_site_fract_z
Zr1 Zr 0.0000 0.0000 0.0000
Ni1 Ni 0.0664 0.5664 0.5000
Ni2 Ni 0.3056 0.3056 0.0000
Ni3 Ni 0.4336 0.9336 0.5000
Ni4 Ni 0.5000 0.5000 0.0000
Ni5 Ni 0.5664 0.0664 0.5000
Ni6 Ni 0.6944 0.6944 0.0000
Ni7 Ni 0.9336 0.4336 0.5000
Sn1 Sn 0.2125 0.2125 0.0000
Sn2 Sn 0.7875 0.7875 0.0000
As1 As 0.3835 0.3835 0.0000
As2 As 0.6165 0.6165 0.0000
```


Entry 10:
Starting from a crystal structure in Alexandria, relaxed with PBE, the X-ray powder pattern of Ac3CuOs was computed for Cu Kα (weighted mean of Kα1 and Kα2).
Peak positions follow from Bragg's law for the DFT cell and can differ from measured ones.

Main lines, sorted by position (10 to 80 degrees two-theta):
2θ 13.35, rel. 19.0
2θ 26.24, rel. 100.0
2θ 26.77, rel. 54.7
2θ 26.92, rel. 38.1
2θ 27.99, rel. 33.9
2θ 35.12, rel. 56.6
2θ 37.07, rel. 23.6
2θ 39.34, rel. 36.3
2θ 41.37, rel. 64.0
2θ 47.74, rel. 23.8

Cell and atoms:
```
data_Ac3CuOs
_chemical_formula_sum 'Ac6 Cu2 Os2'
_cell_length_a 7.8151
_cell_length_b 7.8151
_cell_length_c 10.1921
_cell_angle_alpha 102.61
_cell_angle_beta 102.61
_cell_angle_gamma 34.08
_space_group_name_H-M_alt 'P 1'
_space_group_IT_number 1
loop_
_space_group_symop_operation_xyz
'x,y,z'
loop_
_atom_site_label
_atom_site_type_symbol
_atom_site_fract_x
_atom_site_fract_y
_atom_site_fract_z
Ac1 Ac 0.0319 0.0319 0.2888
Ac2 Ac 0.3305 0.3305 0.3861
Ac3 Ac 0.3563 0.3563 0.0106
Ac4 Ac 0.6437 0.6437 0.9894
Ac5 Ac 0.6695 0.6695 0.6139
Ac6 Ac 0.9681 0.9681 0.7112
Cu1 Cu 0.3172 0.3172 0.6974
Cu2 Cu 0.6828 0.6828 0.3026
Os1 Os 0.1709 0.1709 0.8008
Os2 Os 0.8291 0.8291 0.1992
```


Entry 11:
Starting from a crystal structure in Alexandria, relaxed with PBE, the X-ray powder pattern of PuTlSn2Se4 was computed for Cu Kα (weighted mean of Kα1 and Kα2).
Peak positions follow from Bragg's law for the DFT cell and can differ from measured ones.

Main lines, sorted by position (10 to 80 degrees two-theta):
2θ 25.02, rel. 12.8
2θ 25.40, rel. 11.9
2θ 29.19, rel. 100.0
2θ 41.27, rel. 12.8
2θ 41.71, rel. 24.7
2θ 41.82, rel. 25.7
2θ 42.23, rel. 12.5
2θ 52.17, rel. 13.4
2θ 60.54, rel. 12.5
2θ 68.69, rel. 11.9

Cell and atoms:
```
data_PuTlSn2Se4
_chemical_formula_sum 'Pu1 Tl1 Sn2 Se4'
_cell_length_a 7.5073
_cell_length_b 4.2796
_cell_length_c 7.5319
_cell_angle_alpha 90.00
_cell_angle_beta 108.84
_cell_angle_gamma 90.00
_space_group_name_H-M_alt 'P 1'
_space_group_IT_number 1
loop_
_space_group_symop_operation_xyz
'x,y,z'
loop_
_atom_site_label
_atom_site_type_symbol
_atom_site_fract_x
_atom_site_fract_y
_atom_site_fract_z
Pu1 Pu 0.0000 0.0000 0.0000
Tl1 Tl 0.0000 0.5000 0.5000
Sn1 Sn 0.5000 0.0000 0.5000
Sn2 Sn 0.5000 0.5000 0.0000
Se1 Se 0.2451 0.5000 0.2274
Se2 Se 0.2586 0.0000 0.7740
Se3 Se 0.7414 0.0000 0.2260
Se4 Se 0.7549 0.5000 0.7726
```


- Number 11 is which compound?
  PuTlSn2Se4